Na4TiInSi2PO12: calculated powder XRD pattern (Cu Kα (weighted mean of Kα1 and Kα2)), based on a DFT-relaxed cell (PBE, the Materials Project).

Crystal structure
Unit cell a=9.066 b=9.066 c=9.042 alpha=119.25 beta=119.25 gamma=60.83
Atoms (fractional coordinates):
Na: 0.056 0.944 0.500
Na: 0.195 0.436 0.641
Na: 0.312 0.827 0.887
Na: 0.436 0.195 0.141
Na: 0.564 0.711 0.267
Na: 0.711 0.564 0.767
Na: 0.827 0.312 0.387
Na: 0.944 0.056 0.000
Ti: 0.466 0.966 0.733
Ti: 0.966 0.466 0.233
In: 0.164 0.672 0.034
In: 0.672 0.164 0.534
Si: 0.076 0.271 0.840
Si: 0.271 0.076 0.340
Si: 0.771 0.866 0.129
Si: 0.866 0.771 0.629
P: 0.360 0.576 0.432
P: 0.576 0.360 0.932
O: 0.039 0.320 0.026
O: 0.054 0.734 0.792
O: 0.089 0.254 0.326
O: 0.109 0.439 0.856
O: 0.188 0.539 0.390
O: 0.250 0.903 0.157
O: 0.254 0.089 0.826
O: 0.320 0.039 0.526
O: 0.350 0.601 0.271
O: 0.366 0.748 0.602
O: 0.423 0.536 0.972
O: 0.439 0.109 0.356
O: 0.536 0.423 0.472
O: 0.539 0.188 0.890
O: 0.592 0.872 0.945
O: 0.601 0.350 0.771
O: 0.679 0.821 0.666
O: 0.734 0.054 0.292
O: 0.748 0.366 0.102
O: 0.821 0.679 0.166
O: 0.857 0.943 0.610
O: 0.872 0.592 0.445
O: 0.903 0.250 0.657
O: 0.943 0.857 0.110

Top 6 peaks for 2θ from 10° to 80°, in order of rising 2θ:
2theta	d [Å]	I/Imax
13.75	6.442	37.7
19.37	4.582	43.1
19.60	4.528	59.3
27.70	3.221	26.2
31.19	2.867	100.0
33.89	2.645	55.5